[1]
# Ce5Co2Pb2
Calculated PXRD pattern, CuKα. Input: DFT lattice parameters and positions (PBE).
Neutral-atom scattering factors, no anomalous dispersion.

```
data_Ce5Co2Pb2
_chemical_formula_sum 'Ce20 Co8 Pb8'
_space_group_name_H-M_alt 'I m m a'
_space_group_IT_number 74
_space_group_name_Hall '-I 2b 2'
_cell_length_a 6.7468
_cell_length_b 22.0593
_cell_length_c 6.8539
_cell_angle_alpha 90.00
_cell_angle_beta 90.00
_cell_angle_gamma 90.00
loop_
_atom_site_label
_atom_site_type_symbol
_atom_site_fract_x
_atom_site_fract_y
_atom_site_fract_z
Ce1 Ce 0.0000 0.1415 0.0015
Ce2 Ce 0.0000 0.2500 0.5606
Ce3 Ce 0.2500 0.0005 0.7500
Co1 Co 0.0000 0.0000 0.0000
Co2 Co 0.0000 0.2500 0.9491
Pb1 Pb 0.0000 0.1066 0.4982
```

Main lines, low angle first (2θ from 10° to 90°):
2θ/deg  I_rel  h k l
26.0  36  0 0 2
26.4  40  2 0 0
30.6  76  1 6 1
30.7  57  0 4 2
31.1  48  2 4 0
32.5  50  0 8 0
37.4  100  2 0 2
49.3  24  3 6 1
50.4  53  2 8 2
62.0  27  1 14 1


[2]
# Cs8Na4Y3HoCl24
Calculated PXRD pattern, CuKα. Input: DFT lattice parameters and positions (PBE).
Neutral-atom scattering factors, no anomalous dispersion.

```
data_Cs8Na4Y3HoCl24
_chemical_formula_sum 'Cs8 Na4 Y3 Ho1 Cl24'
_space_group_name_H-M_alt 'P 4/m m m'
_space_group_IT_number 123
_space_group_name_Hall '-P 4 2'
_cell_length_a 7.7087
_cell_length_b 7.7087
_cell_length_c 21.8036
_cell_angle_alpha 90.00
_cell_angle_beta 90.00
_cell_angle_gamma 90.00
loop_
_atom_site_label
_atom_site_type_symbol
_atom_site_fract_x
_atom_site_fract_y
_atom_site_fract_z
Cs1 Cs 0.0000 0.5000 0.1250
Cs2 Cs 0.0000 0.5000 0.3751
Na1 Na 0.0000 0.0000 0.0000
Na2 Na 0.0000 0.0000 0.5000
Na3 Na 0.5000 0.5000 0.2502
Y1 Y 0.0000 0.0000 0.2500
Y2 Y 0.5000 0.5000 0.0000
Ho1 Ho 0.5000 0.5000 0.5000
Cl1 Cl 0.0000 0.0000 0.1286
Cl2 Cl 0.0000 0.0000 0.3715
Cl3 Cl 0.2428 0.2428 0.2500
Cl4 Cl 0.2572 0.2572 0.0000
Cl5 Cl 0.2585 0.2585 0.5000
Cl6 Cl 0.5000 0.5000 0.1214
Cl7 Cl 0.5000 0.5000 0.3793
```

Main lines, low angle first (2θ from 10° to 90°):
2θ/deg  I_rel  h k l
14.1  19  1 0 2
23.1  100  2 0 0
28.4  47  2 0 4
32.9  73  2 2 0
40.5  46  3 1 4
47.2  50  4 0 0
53.1  22  4 2 0
55.9  17  4 2 4
63.9  25  5 1 4
78.5  21  6 2 0


[3]
# Bi3Sb
Calculated PXRD pattern, CuKα. Input: DFT lattice parameters and positions (PBE).
Neutral-atom scattering factors, no anomalous dispersion.

```
data_Bi3Sb
_chemical_formula_sum 'Bi9 Sb3'
_space_group_name_H-M_alt 'R 3 m'
_space_group_IT_number 160
_space_group_name_Hall 'R 3 -2"'
_cell_length_a 4.5406
_cell_length_b 4.5406
_cell_length_c 23.9251
_cell_angle_alpha 90.00
_cell_angle_beta 90.00
_cell_angle_gamma 120.00
loop_
_atom_site_label
_atom_site_type_symbol
_atom_site_fract_x
_atom_site_fract_y
_atom_site_fract_z
Bi1 Bi 0.0000 0.0000 0.0000
Bi2 Bi 0.0000 0.0000 0.2303
Bi3 Bi 0.0000 0.0000 0.7352
Sb1 Sb 0.0000 0.0000 0.4992
```

Main lines, low angle first (2θ from 10° to 90°):
2θ/deg  I_rel  h k l
27.1  100  1 0 4
37.8  37  0 1 8
39.7  39  1 1 0
44.3  8  1 0 10
48.8  21  0 2 4
56.0  12  2 0 8
61.9  14  1 1 12
64.6  18  2 1 4
70.8  12  1 2 8
72.1  7  3 0 0


[4]
# HoBePb
Calculated PXRD pattern, CuKα. Input: DFT lattice parameters and positions (PBE).
Neutral-atom scattering factors, no anomalous dispersion.

```
data_HoBePb
_chemical_formula_sum 'Ho4 Be4 Pb4'
_space_group_name_H-M_alt 'C m c m'
_space_group_IT_number 63
_space_group_name_Hall '-C 2c 2'
_cell_length_a 4.4492
_cell_length_b 16.7753
_cell_length_c 3.9057
_cell_angle_alpha 90.00
_cell_angle_beta 90.00
_cell_angle_gamma 90.00
loop_
_atom_site_label
_atom_site_type_symbol
_atom_site_fract_x
_atom_site_fract_y
_atom_site_fract_z
Ho1 Ho 0.0000 0.0800 0.2500
Be1 Be 0.0000 0.4727 0.2500
Pb1 Pb 0.0000 0.2845 0.7500
```

Main lines, low angle first (2θ from 10° to 90°):
2θ/deg  I_rel  h k l
10.5  27  0 2 0
25.2  51  0 2 1
30.9  18  1 1 1
33.5  50  1 5 0
34.5  100  1 3 1
40.6  21  2 0 0
48.3  18  2 2 1
49.3  19  0 8 1
58.5  21  1 5 2
65.7  16  2 8 1


[5]
# AcAl4Ag2
Calculated PXRD pattern, CuKα. Input: DFT lattice parameters and positions (PBE).
Neutral-atom scattering factors, no anomalous dispersion.

```
data_AcAl4Ag2
_chemical_formula_sum 'Ac4 Al16 Ag8'
_space_group_name_H-M_alt 'P n m a'
_space_group_IT_number 62
_space_group_name_Hall '-P 2ac 2n'
_cell_length_a 17.9625
_cell_length_b 4.3914
_cell_length_c 7.4277
_cell_angle_alpha 90.00
_cell_angle_beta 90.00
_cell_angle_gamma 90.00
loop_
_atom_site_label
_atom_site_type_symbol
_atom_site_fract_x
_atom_site_fract_y
_atom_site_fract_z
Ac1 Ac 0.1152 0.2500 0.0050
Al1 Al 0.0407 0.7500 0.7169
Al2 Al 0.0944 0.2500 0.5038
Al3 Al 0.1898 0.7500 0.3278
Al4 Al 0.1933 0.7500 0.7014
Ag1 Ag 0.0399 0.7500 0.3159
Ag2 Ag 0.2379 0.2500 0.5184
```

Main lines, low angle first (2θ from 10° to 90°):
2θ/deg  I_rel  h k l
22.5  24  2 1 0
24.0  24  0 0 2
27.6  37  5 0 1
27.9  100  3 1 1
33.1  85  2 1 2
34.4  19  5 1 1
36.3  37  6 1 0
36.6  21  1 0 3
41.1  32  0 2 0
49.3  28  5 1 3


[6]
# K4Nd3HfS8
Calculated PXRD pattern, CuKα. Input: DFT lattice parameters and positions (PBE).
Neutral-atom scattering factors, no anomalous dispersion.

```
data_K4Nd3HfS8
_chemical_formula_sum 'K12 Nd9 Hf3 S24'
_space_group_name_H-M_alt 'R -3 m'
_space_group_IT_number 166
_space_group_name_Hall '-R 3 2"'
_cell_length_a 8.1506
_cell_length_b 8.1506
_cell_length_c 22.2164
_cell_angle_alpha 90.00
_cell_angle_beta 90.00
_cell_angle_gamma 120.00
loop_
_atom_site_label
_atom_site_type_symbol
_atom_site_fract_x
_atom_site_fract_y
_atom_site_fract_z
K1 K 0.0000 0.0000 0.0000
K2 K 0.0000 0.5000 0.0000
Nd1 Nd 0.0000 0.5000 0.5000
Hf1 Hf 0.0000 0.0000 0.5000
S1 S 0.0000 0.0000 0.2385
S2 S 0.0259 0.5129 0.2338
```

Main lines, low angle first (2θ from 10° to 90°):
2θ/deg  I_rel  h k l
12.0  73  0 0 3
24.0  16  0 0 6
25.6  25  0 2 1
26.5  34  2 0 2
30.0  100  0 2 4
38.1  18  0 2 7
41.4  36  2 0 8
44.5  33  2 2 0
46.2  16  2 2 3
54.6  17  4 0 4